# LiMnP3O9
Simulated powder XRD pattern, λ = 1.5418 Å (Cu Kα). Input: a cell relaxed with GGA+U.

Atomic structure:
a = 9.9707 Å, b = 9.9707 Å, c = 6.1926 Å
α = 90.00°, β = 90.00°, γ = 120.00°
Space group R3 (No. 146, hexagonal axes)
Unique sites:
Li1 0.0000 0.0000 0.0000 (multiplicity 3)
Mn1 0.0000 0.0000 0.4975 (multiplicity 3)
P1 0.1287 0.7830 0.8621 (multiplicity 9)
O1 0.0223 0.6134 0.7620 (multiplicity 9)
O2 0.0976 0.1993 0.7521 (multiplicity 9)
O3 0.1828 0.0453 0.2278 (multiplicity 9)

Main lines, low angle first (10 to 90 degrees two-theta):
| 2θ/deg | Rel. int. | (hkl) |
| --- | --- | --- |
| 17.79 | 32 | 1 1 0 |
| 25.14 | 100 | 0 2 1 |
| 35.68 | 18 | 2 0 2 |
| 36.03 | 14 | 2 2 0 |
| 40.14 | 10 | 1 2 2 |
| 40.38 | 19 | 1 3 1 |
| 48.03 | 9 | 3 1 2 |
| 51.61 | 9 | 0 4 2 |